[1]
Theoretical PXRD pattern of CeCl3O3 for Cu Kα (weighted mean of Kα1 and Kα2), from a structure optimized by DFT (PBE).

Top 12 peaks for 2θ from 10° to 90°, sorted by position:
hkl 1 0 1, 14.32°, I 1000; hkl 2 0 0, 14.59°, I 602; hkl 0 1 1, 16.23°, I 595; hkl 0 2 0, 21.15°, I 226; hkl 2 1 1, 21.89°, I 250; hkl 1 2 1, 25.63°, I 163; hkl 2 2 0, 25.80°, I 155; hkl 1 1 2, 27.98°, I 275; hkl 3 1 2, 35.06°, I 201; hkl 4 2 0, 36.53°, I 287; hkl 2 3 1, 37.52°, I 191; hkl 1 3 2, 41.55°, I 236

Cell and atoms:
Lattice parameters (Å, degrees): 12.139 8.401 7.189 90.00 90.00 90.00
Element x y z (fractional)
Ce: 0.006 0.250 0.112
Ce: 0.494 0.750 0.612
Ce: 0.506 0.250 0.388
Ce: 0.994 0.750 0.888
Cl: 0.084 0.051 0.827
Cl: 0.084 0.449 0.827
Cl: 0.234 0.750 0.972
Cl: 0.266 0.250 0.472
Cl: 0.416 0.551 0.327
Cl: 0.416 0.949 0.327
Cl: 0.584 0.051 0.673
Cl: 0.584 0.449 0.673
Cl: 0.734 0.750 0.528
Cl: 0.766 0.250 0.028
Cl: 0.916 0.551 0.173
Cl: 0.916 0.949 0.173
O: 0.022 0.250 0.395
O: 0.158 0.123 0.256
O: 0.158 0.377 0.256
O: 0.342 0.623 0.756
O: 0.342 0.877 0.756
O: 0.478 0.750 0.895
O: 0.522 0.250 0.105
O: 0.658 0.123 0.244
O: 0.658 0.377 0.244
O: 0.842 0.623 0.744
O: 0.842 0.877 0.744
O: 0.978 0.750 0.605


[2]
Theoretical PXRD pattern of Rb2CeCl2O2 for Cu Kα (weighted mean of Kα1 and Kα2), from a structure optimized by DFT (PBE).

Top 12 peaks for 2θ from 10° to 90°, sorted by position:
hkl 0 0 2, 10.17°, I 593; hkl 1 0 3, 25.19°, I 919; hkl 1 1 0, 28.29°, I 1000; hkl 0 0 6, 30.84°, I 298; hkl 1 0 5, 32.64°, I 731; hkl 2 0 0, 40.44°, I 523; hkl 1 1 6, 42.34°, I 294; hkl 2 1 3, 48.24°, I 334; hkl 2 0 6, 51.71°, I 253; hkl 2 1 5, 52.91°, I 358; hkl 1 0 11, 62.29°, I 192; hkl 2 1 11, 76.94°, I 209

Cell and atoms:
Lattice parameters (Å, degrees): 4.461 4.461 17.396 90.00 90.00 90.00
Element x y z (fractional)
Rb: 0.000 0.000 0.134
Rb: 0.000 0.000 0.866
Rb: 0.500 0.500 0.366
Rb: 0.500 0.500 0.634
Ce: 0.000 0.000 0.500
Ce: 0.500 0.500 0.000
Cl: 0.000 0.000 0.334
Cl: 0.000 0.000 0.666
Cl: 0.500 0.500 0.166
Cl: 0.500 0.500 0.834
O: 0.000 0.500 0.000
O: 0.000 0.500 0.500
O: 0.500 0.000 0.000
O: 0.500 0.000 0.500


[3]
Theoretical PXRD pattern of Ce3TaCl6O4 for Cu Kα (weighted mean of Kα1 and Kα2), from a structure optimized by DFT (PBE).

Top 12 peaks for 2θ from 10° to 90°, sorted by position:
hkl 2 0 0, 15.76°, I 425; hkl 2 1 0, 20.90°, I 604; hkl 1 1 1, 26.36°, I 237; hkl 2 0 1, 27.54°, I 831; hkl 1 3 0, 28.63°, I 252; hkl 2 1 1, 30.86°, I 867; hkl 1 4 0, 36.64°, I 1000; hkl 3 2 1, 41.79°, I 487; hkl 0 0 2, 45.81°, I 229; hkl 3 4 1, 54.80°, I 239; hkl 1 4 2, 60.03°, I 310; hkl 1 7 0, 62.37°, I 266

Cell and atoms:
Lattice parameters (Å, degrees): 12.983 12.983 3.962 90.00 90.00 120.00
Element x y z (fractional)
Ce: 0.116 0.721 0.250
Ce: 0.279 0.395 0.250
Ce: 0.395 0.116 0.750
Ce: 0.605 0.884 0.250
Ce: 0.721 0.605 0.750
Ce: 0.884 0.279 0.750
Ta: 0.333 0.667 0.750
Ta: 0.667 0.333 0.250
Cl: 0.069 0.440 0.250
Cl: 0.106 0.247 0.750
Cl: 0.141 0.894 0.750
Cl: 0.247 0.141 0.250
Cl: 0.371 0.931 0.250
Cl: 0.440 0.371 0.750
Cl: 0.560 0.629 0.250
Cl: 0.629 0.069 0.750
Cl: 0.753 0.859 0.750
Cl: 0.859 0.106 0.250
Cl: 0.894 0.753 0.250
Cl: 0.931 0.560 0.750
O: 0.201 0.693 0.750
O: 0.307 0.508 0.750
O: 0.333 0.667 0.250
O: 0.492 0.799 0.750
O: 0.508 0.201 0.250
O: 0.667 0.333 0.750
O: 0.693 0.492 0.250
O: 0.799 0.307 0.250


[4]
Theoretical PXRD pattern of Ce3TaCl3O6 for Cu Kα (weighted mean of Kα1 and Kα2), from a structure optimized by DFT (PBE).

Top 12 peaks for 2θ from 10° to 90°, sorted by position:
hkl 1 0 0, 10.95°, I 546; hkl 1 1 1, 25.19°, I 477; hkl 2 0 1, 27.54°, I 454; hkl 2 1 0, 29.24°, I 303; hkl 0 0 2, 33.08°, I 269; hkl 2 1 1, 33.69°, I 1000; hkl 2 1 2, 44.73°, I 346; hkl 3 0 2, 47.62°, I 178; hkl 4 1 0, 51.85°, I 159; hkl 2 3 1, 52.15°, I 275; hkl 2 1 3, 59.48°, I 194; hkl 1 4 2, 62.90°, I 167

Cell and atoms:
Lattice parameters (Å, degrees): 9.330 9.330 5.416 90.00 90.00 120.00
Element x y z (fractional)
Ce: 0.089 0.410 0.250
Ce: 0.322 0.911 0.250
Ce: 0.410 0.322 0.750
Ce: 0.590 0.678 0.250
Ce: 0.678 0.089 0.750
Ce: 0.911 0.590 0.750
Ta: 0.333 0.667 0.750
Ta: 0.667 0.333 0.250
Cl: 0.052 0.242 0.750
Cl: 0.190 0.948 0.750
Cl: 0.242 0.190 0.250
Cl: 0.758 0.810 0.750
Cl: 0.810 0.052 0.250
Cl: 0.948 0.758 0.250
O: 0.155 0.634 0.512
O: 0.155 0.634 0.988
O: 0.366 0.521 0.512
O: 0.366 0.521 0.988
O: 0.479 0.845 0.512
O: 0.479 0.845 0.988
O: 0.521 0.155 0.012
O: 0.521 0.155 0.488
O: 0.634 0.479 0.012
O: 0.634 0.479 0.488
O: 0.845 0.366 0.012
O: 0.845 0.366 0.488


[5]
Theoretical PXRD pattern of Ce2Te7Cl2O17 for Cu Kα (weighted mean of Kα1 and Kα2), from a structure optimized by DFT (PBE).

Top 12 peaks for 2θ from 10° to 90°, sorted by position:
hkl 1 1 -1, 18.60°, I 355; hkl 1 1 -2, 19.44°, I 617; hkl 2 1 -1, 24.42°, I 880; hkl 2 1 -3, 25.25°, I 541; hkl 2 1 -4, 26.91°, I 660; hkl 0 0 6, 27.97°, I 1000; hkl 3 0 0, 29.20°, I 385; hkl 2 1 2, 29.46°, I 404; hkl 3 0 -6, 32.19°, I 268; hkl 2 1 3, 32.38°, I 306; hkl 0 2 3, 35.78°, I 568; hkl 3 2 -3, 43.19°, I 304

Cell and atoms:
Lattice parameters (Å, degrees): 9.879 5.457 20.600 90.00 111.68 90.00
Element x y z (fractional)
Ce: 0.004 0.134 0.409
Ce: 0.004 0.866 0.909
Ce: 0.996 0.134 0.091
Ce: 0.996 0.866 0.591
Te: 0.000 0.441 0.250
Te: 0.000 0.559 0.750
Te: 0.268 0.327 0.581
Te: 0.268 0.673 0.081
Te: 0.289 0.398 0.911
Te: 0.289 0.602 0.411
Te: 0.326 0.015 0.757
Te: 0.326 0.985 0.257
Te: 0.674 0.015 0.743
Te: 0.674 0.985 0.243
Te: 0.711 0.398 0.589
Te: 0.711 0.602 0.089
Te: 0.732 0.327 0.919
Te: 0.732 0.673 0.419
Cl: 0.477 0.207 0.083
Cl: 0.477 0.793 0.583
Cl: 0.523 0.207 0.417
Cl: 0.523 0.793 0.917
O: 0.100 0.208 0.215
O: 0.100 0.792 0.715
O: 0.114 0.103 0.533
O: 0.114 0.897 0.033
O: 0.142 0.163 0.902
O: 0.142 0.837 0.402
O: 0.146 0.422 0.090
O: 0.146 0.578 0.590
O: 0.157 0.363 0.351
O: 0.157 0.637 0.851
O: 0.212 0.125 0.664
O: 0.212 0.875 0.164
O: 0.226 0.402 0.478
O: 0.226 0.598 0.978
O: 0.277 0.279 0.803
O: 0.277 0.721 0.303
O: 0.500 0.187 0.750
O: 0.500 0.813 0.250
O: 0.723 0.279 0.697
O: 0.723 0.721 0.197
O: 0.774 0.402 0.022
O: 0.774 0.598 0.522
O: 0.788 0.125 0.836
O: 0.788 0.875 0.336
O: 0.843 0.363 0.149
O: 0.843 0.637 0.649
O: 0.854 0.422 0.410
O: 0.854 0.578 0.910
O: 0.858 0.163 0.598
O: 0.858 0.837 0.098
O: 0.886 0.103 0.967
O: 0.886 0.897 0.467
O: 0.900 0.208 0.285
O: 0.900 0.792 0.785


[6]
Theoretical PXRD pattern of CeTl2Cl2O2 for Cu Kα (weighted mean of Kα1 and Kα2), from a structure optimized by DFT (PBE).

Top 12 peaks for 2θ from 10° to 90°, sorted by position:
hkl 0 0 4, 20.48°, I 190; hkl 1 0 3, 25.30°, I 1000; hkl 1 1 0, 28.45°, I 873; hkl 1 0 5, 32.77°, I 565; hkl 1 1 4, 35.31°, I 316; hkl 2 0 0, 40.67°, I 414; hkl 0 0 8, 41.69°, I 185; hkl 2 1 3, 48.51°, I 369; hkl 1 1 8, 51.22°, I 223; hkl 2 1 5, 53.18°, I 286; hkl 2 0 8, 59.65°, I 220; hkl 2 1 11, 77.30°, I 185

Cell and atoms:
Lattice parameters (Å, degrees): 4.437 4.437 17.343 90.00 90.00 90.00
Element x y z (fractional)
Ce: 0.000 0.000 0.000
Ce: 0.500 0.500 0.500
Tl: 0.000 0.000 0.369
Tl: 0.000 0.000 0.631
Tl: 0.500 0.500 0.131
Tl: 0.500 0.500 0.869
Cl: 0.000 0.000 0.166
Cl: 0.000 0.000 0.834
Cl: 0.500 0.500 0.334
Cl: 0.500 0.500 0.666
O: 0.000 0.500 0.000
O: 0.000 0.500 0.500
O: 0.500 0.000 0.000
O: 0.500 0.000 0.500